The following is a simulated powder diffractogram of Sm4DySb5. It was derived from DFT lattice parameters and positions (GGA-PBE), using copper Kα.
No peak broadening, texture or thermal motion is included.

The 10 most intense peaks (10° ≤ 2θ ≤ 90°), by angle:
- 2θ 24.48, d 3.636, I = 2
- 2θ 28.34, d 3.149, I = 100
- 2θ 40.51, d 2.227, I = 76
- 2θ 47.90, d 1.899, I = 1
- 2θ 50.18, d 1.818, I = 27
- 2θ 58.63, d 1.575, I = 13
- 2θ 64.49, d 1.445, I = 1
- 2θ 66.38, d 1.408, I = 35
- 2θ 73.69, d 1.286, I = 26
- 2θ 87.64, d 1.113, I = 8

Atomic structure:
```
Sm4DySb5
1.0
-2.227 2.227 15.740
2.227 -2.227 15.740
2.227 2.227 -15.740
Sm Dy Sb
4 1 5
direct
0.100 0.100 0.000 Sm
0.300 0.300 0.000 Sm
0.700 0.700 0.000 Sm
0.900 0.900 0.000 Sm
0.500 0.500 0.000 Dy
0.000 0.000 0.000 Sb
0.200 0.200 0.000 Sb
0.401 0.401 0.000 Sb
0.599 0.599 0.000 Sb
0.800 0.800 0.000 Sb
```